Record 1
This entry pairs a crystal structure of Tb2DyCoSn3Ir2 with its theoretical XRD peak list. Radiation: Cu Kα. Structure: a crystal structure in OQMD, relaxed with GGA-PBE.
Intensities are scaled so that the largest is 100.

Atomic structure:
Cell lengths 3.805, 7.541, 7.541 Å; angles 119.94, 90.00, 90.00 degrees
Element x y z (fractional)
Tb (0.000, 0.203, 0.797)
Tb (0.000, 0.797, 0.203)
Dy (0.000, 0.390, 0.390)
Co (0.000, 0.796, 0.796)
Sn (0.500, 0.050, 0.050)
Sn (0.500, 0.544, 0.796)
Sn (0.500, 0.796, 0.544)
Ir (0.500, 0.131, 0.463)
Ir (0.500, 0.463, 0.131)

Top 10 peaks for 2θ = 5–70°, low angle first:
| two_theta | d/Å | I_rel |
| --- | --- | --- |
| 33.5 | 2.679 | 100 |
| 36.2 | 2.478 | 72 |
| 36.4 | 2.469 | 48 |
| 41.5 | 2.178 | 37 |
| 43.7 | 2.071 | 22 |
| 47.8 | 1.903 | 21 |
| 56.2 | 1.636 | 12 |
| 61.5 | 1.507 | 22 |
| 65.1 | 1.433 | 19 |
| 67.1 | 1.394 | 26 |

---

Record 2
This entry pairs a crystal structure of AlCoH6Au with its theoretical XRD peak list. Radiation: Cu Kα. Structure: a crystal structure in OQMD, relaxed with GGA-PBE.
Intensities are scaled so that the largest is 100.

Atomic structure:
Cell lengths 4.543, 4.543, 4.543 Å; angles 60.00, 60.00, 60.00 degrees
Element x y z (fractional)
Al (0.000, 0.000, 0.000)
Co (0.750, 0.750, 0.750)
H (0.272, 0.272, 0.728)
H (0.272, 0.728, 0.272)
H (0.272, 0.728, 0.728)
H (0.728, 0.272, 0.272)
H (0.728, 0.272, 0.728)
H (0.728, 0.728, 0.272)
Au (0.250, 0.250, 0.250)

Top 8 peaks for 2θ = 5–70°, low angle first:
| two_theta | d/Å | I_rel |
| --- | --- | --- |
| 24.0 | 3.710 | 56 |
| 27.8 | 3.213 | 83 |
| 39.7 | 2.272 | 100 |
| 46.9 | 1.937 | 30 |
| 49.1 | 1.855 | 25 |
| 57.4 | 1.606 | 18 |
| 63.1 | 1.474 | 13 |
| 64.9 | 1.437 | 31 |

---

Record 3
This entry pairs a crystal structure of HfTcNO with its theoretical XRD peak list. Radiation: Cu Kα. Structure: a crystal structure in OQMD, relaxed with GGA-PBE.
Intensities are scaled so that the largest is 100.

Atomic structure:
Cell lengths 6.308, 7.009, 4.502 Å; angles 90.00, 90.00, 90.00 degrees
Element x y z (fractional)
Hf (0.074, 0.140, 0.000)
Hf (0.426, 0.140, 0.500)
Hf (0.574, 0.860, 0.000)
Hf (0.926, 0.860, 0.500)
Tc (0.161, 0.675, 0.994)
Tc (0.339, 0.675, 0.494)
Tc (0.661, 0.325, 0.994)
Tc (0.839, 0.325, 0.494)
N (0.088, 0.135, 0.504)
N (0.412, 0.135, 0.004)
N (0.588, 0.865, 0.504)
N (0.912, 0.865, 0.004)
O (0.002, 0.421, 0.084)
O (0.498, 0.421, 0.584)
O (0.502, 0.579, 0.084)
O (0.998, 0.579, 0.584)

Top 10 peaks for 2θ = 5–70°, low angle first:
| two_theta | d/Å | I_rel |
| --- | --- | --- |
| 12.6 | 7.009 | 33 |
| 27.5 | 3.247 | 33 |
| 29.1 | 3.064 | 65 |
| 34.7 | 2.583 | 84 |
| 35.4 | 2.533 | 100 |
| 40.1 | 2.251 | 52 |
| 49.6 | 1.838 | 18 |
| 50.3 | 1.814 | 28 |
| 50.6 | 1.803 | 22 |
| 66.4 | 1.407 | 19 |

---

Record 4
This entry pairs a crystal structure of Nb2AgSe2S4 with its theoretical XRD peak list. Radiation: Cu Kα. Structure: a crystal structure in OQMD, relaxed with GGA-PBE.
Intensities are scaled so that the largest is 100.

Atomic structure:
Cell lengths 6.785, 6.785, 10.640 Å; angles 116.97, 116.97, 28.19 degrees
Element x y z (fractional)
Nb (0.182, 0.182, 0.299)
Nb (0.818, 0.818, 0.701)
Ag (0.500, 0.500, 0.000)
Se (0.488, 0.488, 0.747)
Se (0.512, 0.512, 0.253)
S (0.171, 0.171, 0.539)
S (0.288, 0.288, 0.856)
S (0.712, 0.712, 0.144)
S (0.829, 0.829, 0.461)

Top 10 peaks for 2θ = 5–70°, low angle first:
| two_theta | d/Å | I_rel |
| --- | --- | --- |
| 13.7 | 6.486 | 100 |
| 18.9 | 4.703 | 12 |
| 28.1 | 3.179 | 11 |
| 30.8 | 2.903 | 28 |
| 33.8 | 2.653 | 20 |
| 35.7 | 2.515 | 41 |
| 44.0 | 2.057 | 24 |
| 44.6 | 2.034 | 9 |
| 44.9 | 2.021 | 15 |
| 51.2 | 1.785 | 13 |